PtRhO4: theoretical powder diffraction line list (λ = 1.5418 Å (Cu Kα)), based on a structure optimized by DFT (GGA-PBE).
Kinematic intensities with the Lorentz-polarization factor, no thermal factor.

Cell and atoms:
Cell: 6.471 6.471 6.362 Å, 90.00 90.00 90.00°
Space group I4_1md (No. 109)
One atom of each set of equivalent atoms:
Pt 0.000 0.000 0.000
Rh 0.000 0.000 0.505
O 0.000 0.191 0.253
O 0.000 0.193 0.751

Main lines, in order of rising 2θ (2θ from 10° to 90°):
| 2θ (°) | d (Å) | I/Imax |
| --- | --- | --- |
| 19.6 | 4.537 | 16 |
| 27.6 | 3.236 | 100 |
| 34.3 | 2.612 | 90 |
| 39.4 | 2.288 | 26 |
| 53.2 | 1.721 | 67 |
| 56.9 | 1.618 | 15 |
| 64.4 | 1.447 | 15 |
| 65.4 | 1.427 | 17 |
| 68.2 | 1.375 | 19 |
| 81.7 | 1.179 | 14 |